This entry pairs a crystal structure of Cs2Tl15Hg2 with its computed XRD peak list. Radiation: Cu Kα, 1.54184 Å. Structure: DFT lattice parameters and positions (PBE).

Peak list (10 most intense, 15° ≤ 2θ ≤ 90°, most intense first)
| d/Å | two_theta | I/Imax |
| --- | --- | --- |
| 2.571 | 34.90 | 100.0 |
| 2.872 | 31.14 | 93.2 |
| 2.886 | 30.99 | 62.9 |
| 2.830 | 31.62 | 43.7 |
| 2.542 | 35.31 | 32.5 |
| 1.666 | 55.12 | 32.3 |
| 2.810 | 31.85 | 28.5 |
| 3.236 | 27.56 | 25.9 |
| 3.332 | 26.75 | 24.1 |
| 1.642 | 55.99 | 22.2 |

Cell and atoms:
Cell lengths 8.7451, 8.7451, 8.7451 Å; angles 82.59, 82.59, 82.59 degrees
Fractional coordinates of all 19 atoms:
Cs 0.1638 0.1638 0.1638
Cs 0.8362 0.8362 0.8362
Tl 0.0000 0.5000 0.5000
Tl 0.1515 0.1515 0.6491
Tl 0.1515 0.6491 0.1515
Tl 0.2096 0.5000 0.7904
Tl 0.2096 0.7904 0.5000
Tl 0.3509 0.8485 0.8485
Tl 0.5000 0.0000 0.5000
Tl 0.5000 0.2096 0.7904
Tl 0.5000 0.5000 0.0000
Tl 0.5000 0.7904 0.2096
Tl 0.6491 0.1515 0.1515
Tl 0.7904 0.2096 0.5000
Tl 0.7904 0.5000 0.2096
Tl 0.8485 0.3509 0.8485
Tl 0.8485 0.8485 0.3509
Hg 0.4056 0.4056 0.4056
Hg 0.5944 0.5944 0.5944